Entry 1:
This entry pairs a crystal structure of Na5Fe11O16 with its calculated powder diffractogram. Radiation: Cu Kα, 1.54184 Å. Structure: a structure optimized by DFT (PBE+U).
No peak broadening, texture or thermal motion is included.

Top 8 peaks for 2θ = 5–70°, sorted by position:
(0 0 2), 2θ 17.05, rel. 25; (0 0 4), 2θ 34.48, rel. 22; (4 0 0), 2θ 35.18, rel. 20; (2 2 -2), 2θ 35.45, rel. 38; (2 2 2), 2θ 40.67, rel. 100; (4 0 -4), 2θ 41.06, rel. 48; (2 2 -6), 2θ 58.71, rel. 28; (6 2 -2), 2θ 59.63, rel. 28

Cell and atoms:
abc: 10.7462 6.1959 10.9561
angles: 90.00 108.27 90.00
Space group Cm (No. 8)
Asymmetric unit:
1 Na 0.0000 0.0000 0.0000 x2
2 Na 0.2482 0.2483 0.9961 x4
3 Na 0.2488 0.2486 0.5027 x4
4 Fe 0.0002 0.0000 0.5037 x2
5 Fe 0.9998 0.2472 0.7504 x4
6 Fe 0.2473 0.0000 0.2498 x2
7 Fe 0.2480 0.5000 0.2514 x2
8 Fe 0.2493 0.0000 0.7465 x2
9 Fe 0.2509 0.5000 0.7510 x2
10 Fe 0.4959 0.0000 0.9945 x2
11 Fe 0.4971 0.2517 0.2502 x4
12 Fe 0.4981 0.0000 0.5033 x2
13 O 0.1092 0.5000 0.3611 x2
14 O 0.1101 0.0000 0.3541 x2
15 O 0.1129 0.2534 0.6288 x4
16 O 0.1140 0.0000 0.8501 x2
17 O 0.1137 0.5000 0.8560 x2
18 O 0.1249 0.2704 0.1446 x4
19 O 0.3788 0.2651 0.3670 x4
20 O 0.3791 0.5000 0.1495 x2
21 O 0.3816 0.2392 0.8618 x4
22 O 0.3852 0.0000 0.1454 x2
23 O 0.3851 0.5000 0.6424 x2
24 O 0.3897 0.0000 0.6365 x2


Entry 2:
This entry pairs a crystal structure of Na6Fe3P4O16 with its calculated powder diffractogram. Radiation: Cu Kα, 1.54184 Å. Structure: a structure optimized by DFT (PBE+U).
No peak broadening, texture or thermal motion is included.

Top 8 peaks for 2θ = 5–70°, sorted by position:
(2 0 0), 2θ 8.33, rel. 86; (0 0 2), 2θ 16.48, rel. 59; (2 0 -2), 2θ 18.42, rel. 42; (6 0 -2), 2θ 30.14, rel. 42; (6 0 2), 2θ 30.26, rel. 50; (0 2 2), 2θ 32.25, rel. 100; (0 0 4), 2θ 33.20, rel. 27; (7 1 -2), 2θ 36.65, rel. 22

Cell and atoms:
abc: 21.2326 6.4738 10.7937
angles: 90.00 90.24 90.00
Space group Cc (No. 9)
Asymmetric unit:
1 Na 0.0000 0.0059 0.0000 x4
2 Na 0.0145 0.2166 0.7512 x4
3 Na 0.0807 0.4525 0.0409 x4
4 Na 0.1353 0.0554 0.5443 x4
5 Na 0.1596 0.2075 0.2874 x4
6 Na 0.3452 0.2519 0.3502 x4
7 Fe 0.2328 0.4890 0.5768 x4
8 Fe 0.3065 0.2499 0.8360 x4
9 Fe 0.4092 0.0068 0.6135 x4
10 P 0.0168 0.2348 0.2754 x4
11 P 0.1589 0.3169 0.8296 x4
12 P 0.2763 0.0128 0.0867 x4
13 P 0.3706 0.4979 0.0871 x4
14 O 0.0560 0.2786 0.3952 x4
15 O 0.0605 0.1378 0.1720 x4
16 O 0.0992 0.2087 0.8828 x4
17 O 0.1466 0.4055 0.6957 x4
18 O 0.1779 0.4986 0.4149 x4
19 O 0.2127 0.1539 0.8259 x4
20 O 0.2311 0.1952 0.1118 x4
21 O 0.2369 0.1779 0.5545 x4
22 O 0.3211 0.0155 0.7031 x4
23 O 0.3231 0.4668 0.9771 x4
24 O 0.3255 0.0451 0.9805 x4
25 O 0.3276 0.4747 0.7031 x4
26 O 0.4104 0.3077 0.5515 x4
27 O 0.4171 0.3123 0.1055 x4
28 O 0.4637 0.4173 0.8076 x4
29 O 0.4901 0.0543 0.7174 x4


Entry 3:
This entry pairs a crystal structure of NaFePO4 with its calculated powder diffractogram. Radiation: Cu Kα, 1.54184 Å. Structure: a structure optimized by DFT (PBE+U).
No peak broadening, texture or thermal motion is included.

Top 8 peaks for 2θ = 5–70°, sorted by position:
(0 1 1), 2θ 19.93, rel. 33; (1 1 1), 2θ 23.74, rel. 33; (2 0 2), 2θ 32.46, rel. 85; (2 1 -1), 2θ 32.74, rel. 100; (0 1 3), 2θ 34.35, rel. 99; (0 2 0), 2θ 35.14, rel. 31; (2 0 -4), 2θ 47.78, rel. 29; (2 2 2), 2θ 48.58, rel. 49

Cell and atoms:
abc: 6.9312 5.1076 9.1132
angles: 90.00 90.06 90.00
Space group P2_1/c (No. 14)
Asymmetric unit:
1 Na 0.2501 0.0285 0.1518 x4
2 Fe 0.0000 0.0000 0.5000 x2
3 Fe 0.5000 0.0000 0.5000 x2
4 P 0.2498 0.5343 0.3245 x4
5 O 0.0676 0.6797 0.3789 x4
6 O 0.2500 0.2480 0.3838 x4
7 O 0.2497 0.5434 0.1521 x4
8 O 0.4320 0.6802 0.3789 x4


Entry 4:
This entry pairs a crystal structure of Na2Fe7P6O24 with its calculated powder diffractogram. Radiation: Cu Kα, 1.54184 Å. Structure: a structure optimized by DFT (PBE+U).
No peak broadening, texture or thermal motion is included.

Top 8 peaks for 2θ = 5–70°, sorted by position:
(0 1 -1), 2θ 14.14, rel. 100; (2 -1 0), 2θ 28.54, rel. 39; (0 1 -3), 2θ 32.71, rel. 82; (0 2 2), 2θ 33.10, rel. 93; (0 3 -1), 2θ 33.37, rel. 87; (2 1 -2), 2θ 34.73, rel. 57; (-3 2 1), 2θ 42.54, rel. 44; (-4 1 1), 2θ 56.77, rel. 36

Cell and atoms:
abc: 6.5656 8.5248 8.7711
angles: 92.87 107.36 106.08
Space group P-1 (No. 2)
Asymmetric unit:
1 Na 0.2488 0.4798 0.0217 x2
2 Fe 0.0000 0.0000 0.5000 x1
3 Fe 0.1286 0.8800 0.0568 x2
4 Fe 0.2516 0.7715 0.7277 x2
5 Fe 0.3701 0.4412 0.6152 x2
6 P 0.1160 0.6286 0.3410 x2
7 P 0.2460 0.2024 0.2922 x2
8 P 0.3689 0.1588 0.8720 x2
9 O 0.0356 0.2396 0.1776 x2
10 O 0.1070 0.6692 0.1686 x2
11 O 0.1108 0.5090 0.6783 x2
12 O 0.1483 0.7756 0.4638 x2
13 O 0.1924 0.1105 0.9604 x2
14 O 0.2329 0.2250 0.4662 x2
15 O 0.2457 0.0247 0.2631 x2
16 O 0.2903 0.0264 0.7199 x2
17 O 0.3117 0.5515 0.4016 x2
18 O 0.3877 0.3341 0.8264 x2
19 O 0.3992 0.8329 0.0059 x2
20 O 0.4610 0.3210 0.2712 x2


Entry 5:
This entry pairs a crystal structure of NaFePO4 with its calculated powder diffractogram. Radiation: Cu Kα, 1.54184 Å. Structure: a structure optimized by DFT (PBE+U).
No peak broadening, texture or thermal motion is included.

Top 8 peaks for 2θ = 5–70°, sorted by position:
(2 0 0), 2θ 17.14, rel. 30; (1 0 1), 2θ 19.12, rel. 25; (0 2 0), 2θ 28.17, rel. 29; (3 0 1), 2θ 31.13, rel. 100; (2 2 0), 2θ 33.16, rel. 60; (1 2 1), 2θ 34.27, rel. 28; (0 0 2), 2θ 34.54, rel. 32; (0 4 0), 2θ 58.21, rel. 23

Cell and atoms:
abc: 10.3451 6.3360 5.1940
angles: 90.00 90.00 90.00
Space group Pnma (No. 62)
Asymmetric unit:
1 Na 0.0000 0.0000 0.0000 x4
2 Fe 0.1625 0.2500 0.4917 x4
3 P 0.1837 0.7500 0.4832 x4
4 O 0.1165 0.5501 0.3724 x8
5 O 0.1690 0.7500 0.7812 x4
6 O 0.1704 0.2500 0.8954 x4


Question: Number 1 is which compound?
Answer: Na5Fe11O16